The following is a computed X-ray powder pattern of V5Zn4Te3O18. It was derived from a crystal structure in Alexandria, relaxed with PBE+U, using Cu Kα.
Intensities are scaled so that the largest is 100.

Cell lengths 15.0087, 9.1227, 10.7613 Å; angles 90.00, 95.21, 90.00 degrees
Space group C2/c (No. 15)
Unique sites:
V 0.0000 0.1738 0.2500 x4
V 0.1499 0.1539 0.7697 x8
V 0.1622 0.3020 0.0489 x8
Zn 0.0370 0.3566 0.5346 x8
Zn 0.2035 0.1451 0.4305 x8
Te 0.0000 0.0000 0.0000 x4
Te 0.1591 0.4952 0.2988 x8
O 0.0695 0.1822 0.4281 x8
O 0.0709 0.0067 0.1804 x8
O 0.0822 0.4556 0.9630 x8
O 0.0884 0.3155 0.1892 x8
O 0.0933 0.1460 0.9346 x8
O 0.0957 0.3365 0.7017 x8
O 0.2282 0.3150 0.8834 x8
O 0.2343 0.1670 0.6176 x8
O 0.2450 0.4749 0.1544 x8

Peak list (6 most intense, 2θ from 15° to 90°, low angle first)
20.3°, 4.373 Å, I = 49; 27.8°, 3.205 Å, I = 58; 29.0°, 3.081 Å, I = 53; 34.2°, 2.624 Å, I = 100; 34.6°, 2.596 Å, I = 54; 54.0°, 1.699 Å, I = 44